For Li2V3P4H4O16, DFT lattice parameters and positions (GGA+U) gives the simulated X-ray powder pattern in this record (Cu Kα X-rays).
No peak broadening, texture or thermal motion is included.

The 8 most intense peaks (10 to 90 degrees two-theta), by angle:
hkl 1 1 1, 18.10°, rel. 94.3; hkl 1 1 2, 25.38°, rel. 76.1; hkl 1 2 1, 26.04°, rel. 64.5; hkl 2 1 -2, 28.31°, rel. 100.0; hkl 1 2 -2, 30.18°, rel. 87.9; hkl 1 3 0, 33.96°, rel. 58.0; hkl 2 2 2, 36.65°, rel. 53.2; hkl 3 1 -3, 41.16°, rel. 63.7

Cell and atoms:
Cell: 9.197 8.277 9.080 Å, 90.00 96.50 90.00°
Element x y z (fractional)
Li (0.085, 0.125, 0.084)
Li (0.085, 0.375, 0.584)
Li (0.915, 0.625, 0.416)
Li (0.915, 0.875, 0.916)
V (0.360, 0.137, 0.503)
V (0.360, 0.363, 0.003)
V (0.500, 0.000, 0.000)
V (0.500, 0.500, 0.500)
V (0.640, 0.637, 0.997)
V (0.640, 0.863, 0.497)
P (0.188, 0.061, 0.785)
P (0.188, 0.439, 0.285)
P (0.388, 0.700, 0.212)
P (0.388, 0.800, 0.712)
P (0.612, 0.200, 0.288)
P (0.612, 0.300, 0.788)
P (0.812, 0.561, 0.715)
P (0.812, 0.939, 0.215)
H (0.126, 0.527, 0.831)
H (0.126, 0.973, 0.331)
H (0.273, 0.533, 0.753)
H (0.273, 0.967, 0.253)
H (0.727, 0.033, 0.747)
H (0.727, 0.467, 0.247)
H (0.874, 0.027, 0.669)
H (0.874, 0.473, 0.169)
O (0.049, 0.047, 0.860)
O (0.049, 0.453, 0.360)
O (0.171, 0.152, 0.636)
O (0.171, 0.348, 0.136)
O (0.216, 0.034, 0.321)
O (0.216, 0.466, 0.821)
O (0.233, 0.626, 0.250)
O (0.233, 0.874, 0.750)
O (0.315, 0.128, 0.894)
O (0.315, 0.372, 0.394)
O (0.355, 0.634, 0.642)
O (0.355, 0.866, 0.142)
O (0.448, 0.580, 0.105)
O (0.448, 0.920, 0.605)
O (0.489, 0.708, 0.358)
O (0.489, 0.792, 0.858)
O (0.511, 0.208, 0.142)
O (0.511, 0.292, 0.642)
O (0.552, 0.080, 0.395)
O (0.552, 0.420, 0.895)
O (0.645, 0.134, 0.858)
O (0.645, 0.366, 0.358)
O (0.685, 0.628, 0.606)
O (0.685, 0.872, 0.106)
O (0.767, 0.126, 0.250)
O (0.767, 0.374, 0.750)
O (0.784, 0.534, 0.179)
O (0.784, 0.966, 0.679)
O (0.829, 0.652, 0.864)
O (0.829, 0.848, 0.364)
O (0.951, 0.547, 0.640)
O (0.951, 0.953, 0.140)